Entry 1:
Simulated powder X-ray diffraction pattern of CuBiAu for Cu Kα, 1.54184 Å, from the PBE geometry in Alexandria.

Principal peaks in the range 5 to 70 degrees two-theta, low angle first:
Position (°2θ)	I/Imax
29.27	51
29.89	63
31.11	35
34.05	52
36.61	27
38.87	25
41.02	100
42.26	24
42.48	27
59.53	23

Cell and atoms:
a b c (Å): 6.9779 6.9779 6.7764
angles (deg): 90.00 90.00 131.00
Element x y z (fractional)
Cu  0.1098  0.8902  0.9509
Cu  0.3902  0.6098  0.4509
Cu  0.6098  0.3902  0.5491
Cu  0.8902  0.1098  0.0491
Bi  0.1736  0.8264  0.5496
Bi  0.3264  0.6736  0.0496
Bi  0.6736  0.3264  0.9504
Bi  0.8264  0.1736  0.4504
Au  0.2140  0.2860  0.7500
Au  0.2860  0.2140  0.2500
Au  0.7140  0.7860  0.7500
Au  0.7860  0.7140  0.2500

***

Entry 2:
Simulated powder X-ray diffraction pattern of Ac3Be2ZnPd9 for Cu Kα, 1.54184 Å, from the PBE geometry in Alexandria.

Principal peaks in the range 5 to 70 degrees two-theta, low angle first:
Position (°2θ)	I/Imax
25.97	14
28.96	11
32.60	100
37.41	23
39.29	74
53.42	29
60.02	21
63.99	13
67.02	23
68.29	13

Cell and atoms:
a b c (Å): 6.8612 6.8612 7.2126
angles (deg): 90.00 90.00 120.00
Element x y z (fractional)
Ac  0.0000  0.0000  0.0000
Ac  0.3333  0.6667  0.6685
Ac  0.6667  0.3333  0.3315
Be  0.3333  0.6667  0.1426
Be  0.6667  0.3333  0.8574
Zn  0.0000  0.0000  0.5000
Pd  0.0000  0.5000  0.0000
Pd  0.1824  0.3649  0.3248
Pd  0.1824  0.8176  0.3248
Pd  0.3649  0.1824  0.6752
Pd  0.5000  0.0000  0.0000
Pd  0.5000  0.5000  0.0000
Pd  0.6351  0.8176  0.3248
Pd  0.8176  0.1824  0.6752
Pd  0.8176  0.6351  0.6752

***

Entry 3:
Simulated powder X-ray diffraction pattern of La4Sm6Th for Cu Kα, 1.54184 Å, from the PBE geometry in Alexandria.

Principal peaks in the range 5 to 70 degrees two-theta, low angle first:
Position (°2θ)	I/Imax
29.60	89
29.93	100
30.03	74
31.19	88
31.39	88
32.48	70
42.91	56
48.59	20
56.09	23
62.20	27

Cell and atoms:
a b c (Å): 5.7406 5.7406 26.2107
angles (deg): 90.00 90.00 117.32
Element x y z (fractional)
La  0.0529  0.9471  0.6226
La  0.0529  0.9471  0.8774
La  0.3499  0.6501  0.5447
La  0.3499  0.6501  0.9553
La  0.6501  0.3499  0.0447
La  0.6501  0.3499  0.4553
La  0.9471  0.0529  0.1226
La  0.9471  0.0529  0.3774
Sm  0.0000  0.0000  0.0000
Sm  0.0000  0.0000  0.5000
Sm  0.0571  0.9429  0.7500
Sm  0.2987  0.7013  0.1046
Sm  0.2987  0.7013  0.3954
Sm  0.3841  0.6159  0.6843
Sm  0.3841  0.6159  0.8157
Sm  0.6159  0.3841  0.1843
Sm  0.6159  0.3841  0.3157
Sm  0.7013  0.2987  0.6046
Sm  0.7013  0.2987  0.8954
Sm  0.9429  0.0571  0.2500
Th  0.2826  0.7174  0.2500
Th  0.7174  0.2826  0.7500

***

Entry 4:
Simulated powder X-ray diffraction pattern of Li2Ti3O7 for Cu Kα, 1.54184 Å, from the PBE geometry in Alexandria.

Principal peaks in the range 5 to 70 degrees two-theta, low angle first:
Position (°2θ)	I/Imax
11.65	100
15.94	41
26.46	84
28.57	23
28.67	19
38.17	36
41.78	31
48.44	30
54.38	20
55.50	23

Cell and atoms:
a b c (Å): 7.6573 3.7584 9.4527
angles (deg): 90.00 97.41 90.00
Element x y z (fractional)
Li  0.0750  0.2500  0.0950
Li  0.0995  0.7500  0.3273
Li  0.9005  0.2500  0.6727
Li  0.9250  0.7500  0.9050
Ti  0.2358  0.2500  0.8408
Ti  0.3364  0.2500  0.5319
Ti  0.4472  0.2500  0.2210
Ti  0.5528  0.7500  0.7790
Ti  0.6636  0.7500  0.4681
Ti  0.7642  0.7500  0.1592
O  0.0122  0.2500  0.8748
O  0.1490  0.2500  0.6284
O  0.2439  0.2500  0.3367
O  0.3056  0.7500  0.8358
O  0.3215  0.2500  0.0510
O  0.4057  0.7500  0.5483
O  0.4938  0.2500  0.7426
O  0.5062  0.7500  0.2574
O  0.5943  0.2500  0.4517
O  0.6785  0.7500  0.9490
O  0.6944  0.2500  0.1642
O  0.7561  0.7500  0.6633
O  0.8510  0.7500  0.3716
O  0.9878  0.7500  0.1252

***

Entry 5:
Simulated powder X-ray diffraction pattern of Dy4Ge2Bi for Cu Kα, 1.54184 Å, from the PBE geometry in Alexandria.

Principal peaks in the range 5 to 70 degrees two-theta, low angle first:
Position (°2θ)	I/Imax
18.88	40
26.69	35
26.82	22
29.80	74
30.03	51
35.69	100
38.29	26
45.16	20
47.06	27
49.41	18

Cell and atoms:
a b c (Å): 8.1678 8.1678 8.1678
angles (deg): 109.73 109.73 108.96
Element x y z (fractional)
Dy  0.2126  0.2818  0.5692
Dy  0.2126  0.6434  0.9308
Dy  0.2818  0.2126  0.0692
Dy  0.3566  0.7874  0.5692
Dy  0.6434  0.2126  0.4308
Dy  0.7182  0.7874  0.9308
Dy  0.7874  0.3566  0.0692
Dy  0.7874  0.7182  0.4308
Ge  0.0000  0.5000  0.5000
Ge  0.5000  0.0000  0.0000
Ge  0.5000  0.5000  0.0000
Ge  0.5000  0.5000  0.5000
Bi  0.1250  0.8750  0.2500
Bi  0.8750  0.1250  0.7500

***

Entry 6:
Simulated powder X-ray diffraction pattern of CsNdCo2Cl8 for Cu Kα, 1.54184 Å, from the PBE geometry in Alexandria.

Principal peaks in the range 5 to 70 degrees two-theta, low angle first:
Position (°2θ)	I/Imax
19.46	100
27.05	38
28.25	28
28.48	19
32.42	34
33.54	25
43.60	26
45.19	35
47.80	27
48.54	12

Cell and atoms:
a b c (Å): 10.8084 10.8084 10.8084
angles (deg): 35.51 35.51 35.51
Element x y z (fractional)
Cs  0.0000  0.0000  0.0000
Nd  0.5000  0.5000  0.5000
Co  0.2454  0.2454  0.2454
Co  0.7546  0.7546  0.7546
Cl  0.1050  0.4509  0.7828
Cl  0.2172  0.8950  0.5491
Cl  0.3175  0.3175  0.3175
Cl  0.4509  0.7828  0.1050
Cl  0.5491  0.2172  0.8950
Cl  0.6825  0.6825  0.6825
Cl  0.7828  0.1050  0.4509
Cl  0.8950  0.5491  0.2172

***

Entry 7:
Simulated powder X-ray diffraction pattern of Tm2Ga4Ag3 for Cu Kα, 1.54184 Å, from the PBE geometry in Alexandria.

Principal peaks in the range 5 to 70 degrees two-theta, low angle first:
Position (°2θ)	I/Imax
32.78	41
34.46	95
34.97	49
36.19	22
36.96	46
38.55	29
38.92	100
41.71	26
57.17	22
68.72	27

Cell and atoms:
a b c (Å): 8.3878 8.3878 7.6719
angles (deg): 90.00 90.00 139.52
Element x y z (fractional)
Tm  0.1030  0.8970  0.9045
Tm  0.3970  0.6030  0.4045
Tm  0.6030  0.3970  0.5955
Tm  0.8970  0.1030  0.0955
Ga  0.1708  0.8292  0.5228
Ga  0.1853  0.3147  0.7500
Ga  0.3147  0.1853  0.2500
Ga  0.3292  0.6708  0.0228
Ga  0.6708  0.3292  0.9772
Ga  0.6853  0.8147  0.7500
Ga  0.8147  0.6853  0.2500
Ga  0.8292  0.1708  0.4772
Ag  0.0000  0.0000  0.5000
Ag  0.0158  0.4842  0.7500
Ag  0.4842  0.0158  0.2500
Ag  0.5000  0.5000  0.0000
Ag  0.5158  0.9842  0.7500
Ag  0.9842  0.5158  0.2500

***

Entry 8:
Simulated powder X-ray diffraction pattern of PmPr3Ga2 for Cu Kα, 1.54184 Å, from the PBE geometry in Alexandria.

Principal peaks in the range 5 to 70 degrees two-theta, low angle first:
Position (°2θ)	I/Imax
28.28	47
30.44	22
31.53	29
32.19	35
32.38	87
32.87	100
34.36	59
47.80	24
58.44	26
60.61	22

Cell and atoms:
a b c (Å): 5.2193 9.7817 6.7608
angles (deg): 90.00 90.00 90.00
Element x y z (fractional)
Pm  0.0000  0.0569  0.0000
Pm  0.0000  0.9431  0.5000
Pr  0.0000  0.3310  0.6738
Pr  0.0000  0.6690  0.1738
Pr  0.5000  0.1656  0.3045
Pr  0.5000  0.4457  0.9775
Pr  0.5000  0.5543  0.4775
Pr  0.5000  0.8344  0.8045
Ga  0.0000  0.3475  0.2008
Ga  0.0000  0.6525  0.7008
Ga  0.5000  0.1510  0.7795
Ga  0.5000  0.8490  0.2795

***

Entry 9:
Simulated powder X-ray diffraction pattern of Sc2Nb2Ge for Cu Kα, 1.54184 Å, from the PBE geometry in Alexandria.

Principal peaks in the range 5 to 70 degrees two-theta, low angle first:
Position (°2θ)	I/Imax
20.62	36
28.97	11
33.29	10
35.82	100
41.43	38
41.94	22
46.71	20
52.36	7
59.30	6
60.42	24

Cell and atoms:
a b c (Å): 6.8922 6.8922 4.3081
angles (deg): 90.00 90.00 90.00
Element x y z (fractional)
Sc  0.1641  0.3359  0.0000
Sc  0.3359  0.8359  0.0000
Sc  0.6641  0.1641  0.0000
Sc  0.8359  0.6641  0.0000
Nb  0.1381  0.6381  0.5000
Nb  0.3619  0.1381  0.5000
Nb  0.6381  0.8619  0.5000
Nb  0.8619  0.3619  0.5000
Ge  0.0000  0.0000  0.5000
Ge  0.5000  0.5000  0.5000

***

Entry 10:
Simulated powder X-ray diffraction pattern of BaCdSb2 for Cu Kα, 1.54184 Å, from the PBE geometry in Alexandria.

Principal peaks in the range 5 to 70 degrees two-theta, low angle first:
Position (°2θ)	I/Imax
23.85	13
24.14	15
28.93	10
29.06	12
30.84	100
38.35	18
39.09	21
40.17	14
55.92	12
65.75	12

Cell and atoms:
a b c (Å): 24.5788 4.6085 4.6946
angles (deg): 90.00 90.00 90.00
Element x y z (fractional)
Ba  0.1136  0.2500  0.2212
Ba  0.3864  0.7500  0.7212
Ba  0.6136  0.2500  0.2788
Ba  0.8864  0.7500  0.7788
Cd  0.2503  0.2500  0.7197
Cd  0.2497  0.7500  0.2197
Cd  0.7503  0.2500  0.7803
Cd  0.7497  0.7500  0.2803
Sb  0.0017  0.2500  0.7039
Sb  0.1743  0.7500  0.7199
Sb  0.3257  0.2500  0.2199
Sb  0.4983  0.7500  0.2039
Sb  0.5017  0.2500  0.7961
Sb  0.6743  0.7500  0.7801
Sb  0.8257  0.2500  0.2801
Sb  0.9983  0.7500  0.2961

***

Entry 11:
Simulated powder X-ray diffraction pattern of Np2Mn2Ni15 for Cu Kα, 1.54184 Å, from the PBE geometry in Alexandria.

Principal peaks in the range 5 to 70 degrees two-theta, low angle first:
Position (°2θ)	I/Imax
30.89	51
32.03	13
37.58	45
38.87	26
43.67	55
43.96	100
44.81	47
59.88	14
63.70	25
64.36	27

Cell and atoms:
a b c (Å): 6.2667 6.2667 6.2667
angles (deg): 82.82 82.82 82.82
Element x y z (fractional)
Np  0.1594  0.1594  0.1594
Np  0.8406  0.8406  0.8406
Mn  0.3968  0.3968  0.3968
Mn  0.6032  0.6032  0.6032
Ni  0.0000  0.5000  0.5000
Ni  0.1523  0.1523  0.6571
Ni  0.1523  0.6571  0.1523
Ni  0.1991  0.5000  0.8009
Ni  0.1991  0.8009  0.5000
Ni  0.3429  0.8477  0.8477
Ni  0.5000  0.0000  0.5000
Ni  0.5000  0.1991  0.8009
Ni  0.5000  0.5000  0.0000
Ni  0.5000  0.8009  0.1991
Ni  0.6571  0.1523  0.1523
Ni  0.8009  0.1991  0.5000
Ni  0.8009  0.5000  0.1991
Ni  0.8477  0.3429  0.8477
Ni  0.8477  0.8477  0.3429

***

Entry 12:
Simulated powder X-ray diffraction pattern of Pr5TmAl2 for Cu Kα, 1.54184 Å, from the PBE geometry in Alexandria.

Principal peaks in the range 5 to 70 degrees two-theta, low angle first:
Position (°2θ)	I/Imax
8.77	25
23.00	20
25.83	58
29.10	16
32.68	57
32.81	100
42.22	16
46.99	21
56.74	31
58.53	41

Cell and atoms:
a b c (Å): 5.4590 5.4590 20.1749
angles (deg): 90.00 90.00 120.00
Element x y z (fractional)
Pr  0.0000  0.0000  0.1548
Pr  0.0000  0.0000  0.3452
Pr  0.0000  0.0000  0.6548
Pr  0.0000  0.0000  0.8452
Pr  0.3333  0.6667  0.0541
Pr  0.3333  0.6667  0.2500
Pr  0.3333  0.6667  0.4459
Pr  0.6667  0.3333  0.5541
Pr  0.6667  0.3333  0.7500
Pr  0.6667  0.3333  0.9459
Tm  0.3333  0.6667  0.7500
Tm  0.6667  0.3333  0.2500
Al  0.3333  0.6667  0.6026
Al  0.3333  0.6667  0.8974
Al  0.6667  0.3333  0.1026
Al  0.6667  0.3333  0.3974